(1)
For Nd6TiInS12, a GGA-PBE-relaxed structure gives the computed PXRD pattern in this record (Cu Kα (weighted mean of Kα1 and Kα2)).
Peak positions follow from Bragg's law for the DFT cell and can differ from measured ones.

Structural model:
Lattice parameters (Å, degrees): 13.8933 16.3606 3.9445 90.00 90.00 90.00
Space group Pnnm (No. 58)
Unique sites:
Nd  0.0490  0.2173  0.0000 (multiplicity 4)
Nd  0.1828  0.6497  0.0000 (multiplicity 4)
Nd  0.2404  0.8994  0.5000 (multiplicity 4)
Ti  0.0000  0.0000  0.5000 (multiplicity 2)
In  0.0000  0.5000  0.5000 (multiplicity 2)
S  0.0233  0.3951  0.0000 (multiplicity 4)
S  0.0830  0.9263  0.0000 (multiplicity 4)
S  0.1026  0.7538  0.5000 (multiplicity 4)
S  0.1203  0.1029  0.5000 (multiplicity 4)
S  0.1869  0.2877  0.5000 (multiplicity 4)
S  0.1882  0.5211  0.5000 (multiplicity 4)

Top 8 peaks for 2θ = 15–90°, sorted by position:
| hkl | 2θ/deg | intensity |
| --- | --- | --- |
| 2 4 0 | 25.3 | 86 |
| 1 2 1 | 25.9 | 46 |
| 4 1 0 | 26.2 | 33 |
| 2 1 1 | 26.6 | 45 |
| 3 3 1 | 34.1 | 100 |
| 0 5 1 | 35.7 | 47 |
| 5 1 1 | 40.1 | 41 |
| 0 0 2 | 46.0 | 37 |



(2)
For Lu5In4Pd2, a GGA-PBE-relaxed structure gives the computed PXRD pattern in this record (Cu Kα (weighted mean of Kα1 and Kα2)).
Peak positions follow from Bragg's law for the DFT cell and can differ from measured ones.

Structural model:
Lattice parameters (Å, degrees): 8.0466 18.0211 3.5559 90.00 90.00 90.00
Space group Pbam (No. 55)
Unique sites:
Lu  0.0000  0.0000  0.0000 (multiplicity 2)
Lu  0.1109  0.4172  0.0000 (multiplicity 4)
Lu  0.2381  0.2203  0.0000 (multiplicity 4)
In  0.0844  0.8515  0.5000 (multiplicity 4)
In  0.2142  0.5683  0.5000 (multiplicity 4)
Pd  0.0220  0.3035  0.5000 (multiplicity 4)

Top 8 peaks for 2θ = 15–90°, sorted by position:
| hkl | 2θ/deg | intensity |
| --- | --- | --- |
| 1 4 1 | 34.0 | 100 |
| 3 2 0 | 34.9 | 43 |
| 2 2 1 | 35.1 | 96 |
| 1 7 0 | 36.7 | 46 |
| 2 3 1 | 36.9 | 28 |
| 1 5 1 | 37.2 | 42 |
| 0 0 2 | 51.4 | 27 |
| 5 1 1 | 63.7 | 33 |



(3)
For CdCl2O4, a GGA-PBE-relaxed structure gives the computed PXRD pattern in this record (Cu Kα (weighted mean of Kα1 and Kα2)).
Peak positions follow from Bragg's law for the DFT cell and can differ from measured ones.

Structural model:
Lattice parameters (Å, degrees): 7.0053 12.8323 14.9392 90.00 90.00 90.00
Space group P2_12_12_1 (No. 19)
Unique sites:
Cd  0.2438  0.0099  0.2480 (multiplicity 4)
Cd  0.2482  0.0147  0.9962 (multiplicity 4)
Cl  0.0044  0.4922  0.1276 (multiplicity 4)
Cl  0.0071  0.9712  0.6242 (multiplicity 4)
Cl  0.0150  0.9613  0.1239 (multiplicity 4)
Cl  0.0257  0.9430  0.8718 (multiplicity 4)
O  0.1373  0.1859  0.9920 (multiplicity 4)
O  0.1588  0.2211  0.5125 (multiplicity 4)
O  0.1601  0.2208  0.2263 (multiplicity 4)
O  0.1699  0.2005  0.7818 (multiplicity 4)
O  0.1890  0.6760  0.5001 (multiplicity 4)
O  0.2327  0.7033  0.7215 (multiplicity 4)
O  0.2395  0.7043  0.9935 (multiplicity 4)
O  0.2415  0.7166  0.2778 (multiplicity 4)

Top 8 peaks for 2θ = 15–90°, sorted by position:
| hkl | 2θ/deg | intensity |
| --- | --- | --- |
| 1 3 0 | 24.4 | 78 |
| 0 4 0 | 27.8 | 62 |
| 1 1 4 | 28.0 | 85 |
| 1 3 4 | 34.3 | 58 |
| 2 0 4 | 35.1 | 100 |
| 2 2 4 | 37.9 | 69 |
| 2 4 4 | 45.4 | 51 |
| 3 3 4 | 50.8 | 32 |